# 1
The following is a simulated PXRD pattern of Dy4Ge6Rh7. It was derived from a PBE-relaxed structure, using Cu Kα (weighted mean of Kα1 and Kα2).
Kinematic intensities with the Lorentz-polarization factor, no thermal factor.

Peak list (12 most intense, 2θ = 15–90°, in order of rising 2θ)
2theta	I (rel.)	h k l
30.0	299	2 2 0
37.0	1000	2 2 2
40.1	207	3 2 1
43.0	632	4 0 0
45.7	97	3 3 0
50.9	147	3 3 2
62.4	329	4 4 0
70.8	111	6 2 0
74.8	268	6 2 2
76.8	91	6 3 1
78.8	86	4 4 4
86.5	77	6 4 2

Crystal structure
Lattice parameters (Å, degrees): 8.4186 8.4186 8.4186 90.00 90.00 90.00
Space group Im-3m (No. 229)
Inequivalent atoms, fractional coordinates:
Dy 0.2500 0.2500 0.2500 [8 per cell]
Ge 0.0000 0.0000 0.3202 [12 per cell]
Rh 0.0000 0.0000 0.0000 [2 per cell]
Rh 0.0000 0.2500 0.5000 [12 per cell]

# 2
The following is a simulated PXRD pattern of FeTc2Cl. It was derived from a PBE-relaxed structure, using Cu Kα (weighted mean of Kα1 and Kα2).
Kinematic intensities with the Lorentz-polarization factor, no thermal factor.

Peak list (8 most intense, 2θ = 15–90°, in order of rising 2θ)
2theta	I (rel.)	h k l
25.7	15	1 1 1
29.8	174	2 0 0
42.6	1000	2 2 0
50.5	8	3 1 1
52.9	50	2 2 2
61.9	157	4 0 0
70.2	65	4 2 0
78.1	311	4 2 2

Crystal structure
Lattice parameters (Å, degrees): 5.9978 5.9978 5.9978 90.00 90.00 90.00
Space group Fm-3m (No. 225)
Inequivalent atoms, fractional coordinates:
Fe 0.0000 0.0000 0.0000 [4 per cell]
Tc 0.2500 0.2500 0.2500 [8 per cell]
Cl 0.0000 0.0000 0.5000 [4 per cell]

# 3
The following is a simulated PXRD pattern of Ba6LiNb2IrCl2O12. It was derived from a PBE-relaxed structure, using Cu Kα (weighted mean of Kα1 and Kα2).
Kinematic intensities with the Lorentz-polarization factor, no thermal factor.

Peak list (12 most intense, 2θ = 15–90°, in order of rising 2θ)
2theta	I (rel.)	h k l
17.5	216	2 0 1
17.9	157	1 1 -1
25.1	241	1 1 3
28.6	1000	3 1 0
28.9	780	1 1 -4
29.7	371	2 0 4
30.4	574	0 2 0
40.4	192	3 1 -5
43.0	434	2 2 4
52.8	211	3 3 0
53.0	140	1 3 -4
59.1	172	6 2 0

Crystal structure
Lattice parameters (Å, degrees): 11.0824 5.8886 15.0506 90.00 94.13 90.00
Space group Cm (No. 8)
Inequivalent atoms, fractional coordinates:
Ba 0.0000 0.0000 0.0000 [2 per cell]
Ba 0.0043 0.0000 0.7153 [2 per cell]
Ba 0.2996 0.0000 0.5835 [2 per cell]
Ba 0.3412 0.0000 0.8454 [2 per cell]
Ba 0.3500 0.0000 0.2640 [2 per cell]
Ba 0.4438 0.5000 0.4438 [2 per cell]
Li 0.1573 0.0000 0.3694 [2 per cell]
Nb 0.1487 0.5000 0.4565 [2 per cell]
Nb 0.1538 0.5000 0.8271 [2 per cell]
Ir 0.1512 0.5000 0.6371 [2 per cell]
Cl 0.0168 0.0000 0.2319 [2 per cell]
Cl 0.3521 0.0000 0.0587 [2 per cell]
O 0.0006 0.5000 0.7144 [2 per cell]
O 0.0647 0.2579 0.8782 [4 per cell]
O 0.0895 0.2529 0.5452 [4 per cell]
O 0.2175 0.2642 0.7302 [4 per cell]
O 0.2374 0.2628 0.3915 [4 per cell]
O 0.3047 0.5000 0.5646 [2 per cell]
O 0.3048 0.5000 0.8958 [2 per cell]
O 0.4970 0.0000 0.3901 [2 per cell]

# 4
The following is a simulated PXRD pattern of K3NO. It was derived from a PBE-relaxed structure, using Cu Kα (weighted mean of Kα1 and Kα2).
Kinematic intensities with the Lorentz-polarization factor, no thermal factor.

Peak list (12 most intense, 2θ = 15–90°, in order of rising 2θ)
2theta	I (rel.)	h k l
17.0	623	0 1 0
17.2	298	0 0 5
29.5	1000	1 1 -5
30.1	952	1 1 5
34.4	485	0 2 0
34.5	511	2 0 0
34.8	575	0 0 10
38.6	182	0 2 5
49.0	158	2 0 -10
49.5	252	2 2 0
49.7	289	0 2 10
50.6	145	2 0 10

Crystal structure
Lattice parameters (Å, degrees): 5.1991 5.2187 25.7978 90.00 91.73 90.00
Space group P2 (No. 3)
Inequivalent atoms, fractional coordinates:
K 0.0000 0.0000 0.0000 [1 per cell]
K 0.0000 0.4286 0.5000 [1 per cell]
K 0.0052 0.9892 0.4003 [2 per cell]
K 0.0134 0.5410 0.2993 [2 per cell]
K 0.0329 0.9815 0.7989 [2 per cell]
K 0.0574 0.4861 0.9000 [2 per cell]
K 0.4946 0.4886 0.6008 [2 per cell]
K 0.4955 0.5196 0.8021 [2 per cell]
K 0.5000 0.4645 0.0000 [1 per cell]
N 0.3848 0.9908 0.9001 [2 per cell]
N 0.4868 0.8723 0.7003 [2 per cell]
N 0.5000 0.1023 0.5000 [1 per cell]
O 0.0000 0.5075 0.0000 [1 per cell]
O 0.0049 0.4901 0.3995 [2 per cell]
O 0.0142 0.4712 0.2000 [2 per cell]

# 5
The following is a simulated PXRD pattern of Dy2SiO5. It was derived from a PBE-relaxed structure, using Cu Kα (weighted mean of Kα1 and Kα2).
Kinematic intensities with the Lorentz-polarization factor, no thermal factor.

Peak list (12 most intense, 2θ = 15–90°, in order of rising 2θ)
2theta	I (rel.)	h k l
18.6	171	1 0 2
26.2	274	1 0 3
30.0	1000	2 1 0
30.4	691	2 0 3
31.1	200	3 0 2
34.8	343	0 1 3
44.1	193	3 1 3
49.6	199	0 2 0
50.4	325	4 1 3
51.5	154	1 0 6
57.7	213	1 1 6
59.2	206	2 2 3

Crystal structure
Lattice parameters (Å, degrees): 10.1914 3.6779 10.8183 90.00 90.00 90.00
Space group Pnma (No. 62)
Inequivalent atoms, fractional coordinates:
Dy 0.1011 0.2500 0.2171 [4 per cell]
Dy 0.1395 0.2500 0.5542 [4 per cell]
Si 0.1812 0.2500 0.8752 [4 per cell]
O 0.0100 0.7500 0.6045 [4 per cell]
O 0.0234 0.2500 0.8443 [4 per cell]
O 0.2208 0.2500 0.0282 [4 per cell]
O 0.2243 0.7500 0.8783 [4 per cell]
O 0.2349 0.7500 0.2372 [4 per cell]